Record 1
The following is a calculated powder X-ray diffraction pattern of CaP2H4O8. It was derived from a structure optimized by DFT (GGA-PBE), using a wavelength of 1.5418 Å.

Cell and atoms:
abc: 5.567 7.849 8.381
angles: 111.50 108.33 93.79
Space group P-1 (No. 2)
One atom of each set of equivalent atoms:
Ca 0.190 0.318 0.418 x2
P 0.174 0.730 0.314 x2
P 0.477 0.744 0.843 x2
H 0.000 0.500 0.000 x1
H 0.153 0.151 0.783 x2
H 0.243 0.983 0.003 x2
H 0.406 0.677 0.063 x2
H 0.500 0.000 0.500 x1
O 0.023 0.898 0.315 x2
O 0.048 0.602 0.377 x2
O 0.174 0.627 0.117 x2
O 0.225 0.815 0.818 x2
O 0.285 0.104 0.119 x2
O 0.442 0.286 0.970 x2
O 0.456 0.832 0.446 x2
O 0.483 0.577 0.681 x2

Principal peaks in the range 2θ from 10° to 90°, in order of rising 2θ:
- 24.14 deg, intensity 71
- 24.28 deg, intensity 53
- 24.51 deg, intensity 93
- 24.91 deg, intensity 100
- 26.92 deg, intensity 53
- 28.27 deg, intensity 87
- 29.89 deg, intensity 40
- 31.27 deg, intensity 46
- 34.72 deg, intensity 47
- 42.48 deg, intensity 40



Record 2
The following is a calculated powder X-ray diffraction pattern of CaPHO. It was derived from a structure optimized by DFT (GGA-PBE), using a wavelength of 1.5418 Å.

Cell and atoms:
abc: 3.221 3.140 11.804
angles: 90.00 90.00 90.00
Space group Amm2 (No. 38)
One atom of each set of equivalent atoms:
Ca 0.000 0.000 0.000 x2
P 0.000 0.000 0.280 x2
H 0.500 0.000 0.634 x2
O 0.500 0.000 0.550 x2

Principal peaks in the range 2θ from 10° to 90°, in order of rising 2θ:
- 15.01 deg, intensity 62
- 27.69 deg, intensity 56
- 29.44 deg, intensity 30
- 30.29 deg, intensity 90
- 36.62 deg, intensity 71
- 40.86 deg, intensity 100
- 41.50 deg, intensity 44
- 46.52 deg, intensity 75
- 62.52 deg, intensity 21
- 69.70 deg, intensity 19



Record 3
The following is a calculated powder X-ray diffraction pattern of Ca5P3HO13. It was derived from a structure optimized by DFT (GGA-PBE), using a wavelength of 1.5418 Å.

Cell and atoms:
abc: 9.5619 9.5619 6.9050
angles: 90.00 90.00 120.00
Space group P6_3 (No. 173)
One atom of each set of equivalent atoms:
Ca 0.9998 0.2503 0.0000 x6
Ca 0.3333 0.6667 0.2483 x2
Ca 0.3333 0.6667 0.7513 x2
P 0.0301 0.3995 0.5012 x6
H 0.0000 0.0000 0.1767 x2
O 0.0000 0.0000 0.0351 x2
O 0.0824 0.3387 0.3216 x6
O 0.0872 0.3474 0.6840 x6
O 0.1245 0.5883 0.4968 x6
O 0.1547 0.6677 0.0024 x6

Principal peaks in the range 2θ from 10° to 90°, in order of rising 2θ:
- 25.80 deg, intensity 34
- 31.38 deg, intensity 100
- 31.98 deg, intensity 45
- 32.44 deg, intensity 63
- 33.80 deg, intensity 24
- 39.23 deg, intensity 20
- 46.19 deg, intensity 32
- 49.13 deg, intensity 35
- 49.78 deg, intensity 19
- 53.05 deg, intensity 17



Record 4
The following is a calculated powder X-ray diffraction pattern of CaP4H2O12. It was derived from a structure optimized by DFT (GGA-PBE), using a wavelength of 1.5418 Å.

Cell and atoms:
abc: 5.867 9.771 8.954
angles: 90.00 92.51 90.00
Space group P2_1/c (No. 14)
One atom of each set of equivalent atoms:
Ca 0.000 0.000 0.000 x2
P 0.292 0.214 0.302 x4
P 0.385 0.722 0.939 x4
H 0.201 0.539 0.831 x4
O 0.146 0.189 0.882 x4
O 0.186 0.625 0.897 x4
O 0.192 0.086 0.230 x4
O 0.319 0.633 0.456 x4
O 0.423 0.197 0.680 x4
O 0.500 0.157 0.411 x4

Principal peaks in the range 2θ from 10° to 90°, in order of rising 2θ:
- 15.12 deg, intensity 25
- 18.16 deg, intensity 86
- 19.93 deg, intensity 100
- 23.71 deg, intensity 97
- 24.50 deg, intensity 35
- 25.57 deg, intensity 41
- 26.17 deg, intensity 36
- 27.18 deg, intensity 96
- 29.18 deg, intensity 28
- 30.67 deg, intensity 39



Record 5
The following is a calculated powder X-ray diffraction pattern of CaP2H6O9. It was derived from a structure optimized by DFT (GGA-PBE), using a wavelength of 1.5418 Å.

Cell and atoms:
abc: 5.639 6.355 11.951
angles: 93.18 95.79 114.02
Space group P-1 (No. 2)
One atom of each set of equivalent atoms:
Ca 0.037 0.275 0.105 x2
P 0.274 0.109 0.375 x2
P 0.472 0.225 0.903 x2
H 0.034 0.634 0.310 x2
H 0.045 0.205 0.494 x2
H 0.184 0.615 0.689 x2
H 0.317 0.433 0.792 x2
H 0.340 0.803 0.520 x2
H 0.434 0.039 0.196 x2
O 0.088 0.504 0.742 x2
O 0.156 0.267 0.432 x2
O 0.171 0.869 0.419 x2
O 0.225 0.104 0.247 x2
O 0.239 0.163 0.968 x2
O 0.252 0.671 0.033 x2
O 0.411 0.986 0.831 x2
O 0.416 0.767 0.592 x2
O 0.484 0.413 0.818 x2

Principal peaks in the range 2θ from 10° to 90°, in order of rising 2θ:
- 15.35 deg, intensity 17
- 17.80 deg, intensity 33
- 22.64 deg, intensity 21
- 22.86 deg, intensity 97
- 23.81 deg, intensity 100
- 27.70 deg, intensity 27
- 29.82 deg, intensity 22
- 33.06 deg, intensity 28
- 34.96 deg, intensity 16
- 44.85 deg, intensity 21



Record 6
The following is a calculated powder X-ray diffraction pattern of CaP2H4O4. It was derived from a structure optimized by DFT (GGA-PBE), using a wavelength of 1.5418 Å.

Cell and atoms:
abc: 15.670 5.742 6.744
angles: 90.00 101.92 90.00
Space group C2/c (No. 15)
One atom of each set of equivalent atoms:
Ca 0.000 0.164 0.250 x4
P 0.138 0.322 0.712 x8
H 0.171 0.236 0.910 x8
H 0.212 0.321 0.621 x8
O 0.073 0.140 0.602 x8
O 0.106 0.430 0.224 x8

Principal peaks in the range 2θ from 10° to 90°, in order of rising 2θ:
- 11.54 deg, intensity 100
- 23.27 deg, intensity 68
- 25.08 deg, intensity 100
- 27.03 deg, intensity 56
- 28.77 deg, intensity 18
- 31.66 deg, intensity 26
- 33.08 deg, intensity 20
- 33.44 deg, intensity 14
- 44.24 deg, intensity 16
- 47.49 deg, intensity 22



Record 7
The following is a calculated powder X-ray diffraction pattern of CaSnP6H12O12. It was derived from a structure optimized by DFT (GGA-PBE), using a wavelength of 1.5418 Å.

Cell and atoms:
abc: 12.2183 12.2183 10.0694
angles: 90.00 90.00 120.00
Space group R-3 (No. 148, hexagonal axes)
One atom of each set of equivalent atoms:
Ca 0.0000 0.0000 0.0000 x3
Sn 0.0000 0.0000 0.5000 x3
P 0.0266 0.8158 0.7213 x18
H 0.0166 0.3754 0.9504 x18
H 0.0493 0.5162 0.3371 x18
O 0.0268 0.8592 0.8611 x18
O 0.0520 0.1591 0.3844 x18

Principal peaks in the range 2θ from 10° to 90°, in order of rising 2θ:
- 12.13 deg, intensity 33
- 14.50 deg, intensity 100
- 18.95 deg, intensity 17
- 23.94 deg, intensity 49
- 24.41 deg, intensity 34
- 28.50 deg, intensity 44
- 31.76 deg, intensity 19
- 35.40 deg, intensity 30
- 39.01 deg, intensity 19
- 49.02 deg, intensity 10